Starting from the GGA+U geometry in Alexandria, the XRD peak list of SrV4O10 was computed for Cu Kα.
Lines closer than 0.1° are merged.

Main lines, by angle (10 to 90 degrees two-theta):
Position (°2θ)	Rel. int.	h k l
16.2	31	1 1 0
17.4	58	1 0 1
25.2	42	1 0 -2
26.7	61	1 2 1
26.8	62	0 2 -1
29.7	100	0 0 3
31.9	57	2 0 -1
32.2	57	0 2 2
45.4	42	3 0 0
48.7	59	1 4 0

Crystal structure
Unit cell a=6.288 b=7.477 c=9.046 alpha=89.78 beta=87.44 gamma=72.45
Element x y z (fractional)
Sr (0.182, 0.207, 0.014)
Sr (0.818, 0.793, 0.986)
V (0.119, 0.966, 0.659)
V (0.134, 0.470, 0.658)
V (0.459, 0.381, 0.340)
V (0.474, 0.887, 0.338)
V (0.526, 0.113, 0.662)
V (0.541, 0.619, 0.660)
V (0.866, 0.530, 0.342)
V (0.881, 0.034, 0.341)
O (0.070, 0.494, 0.843)
O (0.079, 0.967, 0.845)
O (0.156, 0.966, 0.399)
O (0.177, 0.453, 0.413)
O (0.198, 0.193, 0.647)
O (0.206, 0.706, 0.632)
O (0.433, 0.361, 0.162)
O (0.451, 0.923, 0.154)
O (0.469, 0.877, 0.599)
O (0.471, 0.388, 0.636)
O (0.529, 0.612, 0.364)
O (0.531, 0.123, 0.401)
O (0.549, 0.077, 0.846)
O (0.567, 0.639, 0.838)
O (0.794, 0.294, 0.368)
O (0.802, 0.807, 0.353)
O (0.823, 0.547, 0.587)
O (0.844, 0.034, 0.601)
O (0.921, 0.033, 0.155)
O (0.930, 0.506, 0.157)